The following is a computed X-ray powder pattern of Sm12DySc2. It was derived from a GGA-PBE-relaxed structure, using a wavelength of 1.5418 Å.
Kinematic intensities with the Lorentz-polarization factor, no thermal factor.

Structure:
Cell: 3.6233 4.8817 28.1461 Å, 90.00 93.68 90.00°
Space group P2/m (No. 10)
One atom of each set of equivalent atoms:
Sm (0.0345, 0.0000, 0.0649) [2 per cell]
Sm (0.1056, 0.0000, 0.1962) [2 per cell]
Sm (0.1658, 0.0000, 0.3190) [2 per cell]
Sm (0.2258, 0.0000, 0.4478) [2 per cell]
Sm (0.3057, 0.5000, 0.6190) [2 per cell]
Sm (0.4297, 0.5000, 0.8694) [2 per cell]
Dy (0.5000, 0.5000, 0.0000) [1 per cell]
Sc (0.3641, 0.5000, 0.7424) [2 per cell]

Peak list (12 most intense, 10 to 90 degrees two-theta, by angle)
two_theta	d/Å	I_rel
30.8	2.906	100
31.4	2.850	96
34.4	2.604	61
36.8	2.441	47
50.4	1.812	14
51.3	1.781	40
60.2	1.538	30
60.6	1.529	29
62.6	1.484	17
63.0	1.476	13
64.0	1.455	14
84.7	1.144	12

The following is a computed X-ray powder pattern of Sm2DySc2. It was derived from a GGA-PBE-relaxed structure, using a wavelength of 1.5418 Å.
Kinematic intensities with the Lorentz-polarization factor, no thermal factor.

Structure:
Cell: 17.7984 4.7962 3.5055 Å, 90.00 101.27 90.00°
Space group C2/m (No. 12)
One atom of each set of equivalent atoms:
Sm (0.1955, 0.0000, 0.1952) [4 per cell]
Dy (0.0000, 0.0000, 0.0000) [2 per cell]
Sc (0.0967, 0.5000, 0.5964) [4 per cell]

Peak list (12 most intense, 10 to 90 degrees two-theta, by angle)
two_theta	d/Å	I_rel
19.2	4.625	19
25.9	3.437	9
31.7	2.826	100
36.3	2.474	34
37.5	2.398	16
44.7	2.029	6
52.2	1.753	6
53.2	1.722	23
62.4	1.489	14
62.5	1.486	13
64.0	1.454	13
66.0	1.415	6